No. 1
This entry pairs a crystal structure of K5SmMo4O16 with its computed powder diffractogram. Radiation: Cu Kα (weighted mean of Kα1 and Kα2). Structure: a structure optimized by DFT (GGA+U).
No peak broadening, texture or thermal motion is included.

Atomic structure:
Cell: 7.8887 6.2106 9.8017 Å, 90.00 105.59 90.00°
Space group P2/m (No. 10)
Unique sites:
1 K 0.0000 0.0000 0.0000 [1 per cell]
2 K 0.1550 0.5000 0.7129 [2 per cell]
3 K 0.4200 0.0000 0.8145 [2 per cell]
4 Sm 0.5000 0.5000 0.5000 [1 per cell]
5 Mo 0.1919 0.0000 0.4078 [2 per cell]
6 Mo 0.2866 0.5000 0.0973 [2 per cell]
7 O 0.0424 0.0000 0.6573 [2 per cell]
8 O 0.0939 0.5000 0.1581 [2 per cell]
9 O 0.2749 0.0000 0.2585 [2 per cell]
10 O 0.2806 0.2448 0.5064 [4 per cell]
11 O 0.2905 0.2683 0.9896 [4 per cell]
12 O 0.4775 0.5000 0.2560 [2 per cell]

Principal peaks in the range 5 to 70 degrees two-theta, in order of rising 2θ:
2θ/deg, d/Å, Rel. int.
12.84, 6.893, 16
18.45, 4.809, 18
18.80, 4.721, 11
26.96, 3.307, 67
27.61, 3.231, 33
28.69, 3.111, 100
39.23, 2.297, 12
40.28, 2.239, 27
47.35, 1.920, 17
49.35, 1.847, 13
50.52, 1.807, 12
50.88, 1.795, 12

No. 2
This entry pairs a crystal structure of K2Ta3MoO12 with its computed powder diffractogram. Radiation: Cu Kα (weighted mean of Kα1 and Kα2). Structure: a structure optimized by DFT (GGA+U).
No peak broadening, texture or thermal motion is included.

Atomic structure:
Cell: 7.4482 7.4482 18.1764 Å, 90.00 90.00 120.00°
Space group R-3m (No. 166, hexagonal axes)
Unique sites:
1 K 0.0000 0.0000 0.1190 [6 per cell]
2 Ta 0.0000 0.5000 0.0000 [9 per cell]
3 Mo 0.0000 0.0000 0.5000 [3 per cell]
4 O 0.0811 0.5405 0.3557 [18 per cell]
5 O 0.0891 0.5446 0.1052 [18 per cell]

Principal peaks in the range 5 to 70 degrees two-theta, in order of rising 2θ:
2θ/deg, d/Å, Rel. int.
14.59, 6.070, 100
28.13, 3.173, 93
29.41, 3.037, 73
34.09, 2.630, 16
37.25, 2.414, 10
44.76, 2.025, 25
48.92, 1.862, 20
49.04, 1.857, 20
51.35, 1.779, 17
57.39, 1.606, 12
58.13, 1.587, 24
68.45, 1.371, 11